Rb2TiO3: simulated powder XRD pattern (Cu Kα, 1.54184 Å), based on the GGA-PBE geometry in Alexandria.
Peak positions follow from Bragg's law for the DFT cell and can differ from measured ones.

Structure:
```
data_Rb2TiO3
_chemical_formula_sum 'Rb16 Ti8 O24'
_cell_length_a 6.0905
_cell_length_b 12.1187
_cell_length_c 13.5402
_cell_angle_alpha 90.00
_cell_angle_beta 90.00
_cell_angle_gamma 90.00
_space_group_name_H-M_alt 'C m c e'
_space_group_IT_number 64
_space_group_name_Hall '-C 2ac 2'
loop_
_atom_site_label
_atom_site_type_symbol
_atom_site_fract_x
_atom_site_fract_y
_atom_site_fract_z
Rb1 Rb 0.0000 0.0578 0.1364
Rb2 Rb 0.0000 0.1329 0.5739
Ti1 Ti 0.0000 0.2440 0.3295
O1 O 0.0000 0.1017 0.3640
O2 O 0.0000 0.1680 0.9352
O3 O 0.2500 0.2264 0.7500
```

The 8 most intense peaks (2θ from 10° to 90°), by intensity:
- d = 3.014 Å, I 100, (1 3 2)
- d = 3.045 Å, I 73, (2 0 0)
- d = 3.267 Å, I 39, (1 3 1)
- d = 2.472 Å, I 32, (0 2 5)
- d = 2.874 Å, I 31, (1 1 4)
- d = 2.264 Å, I 28, (2 0 4)
- d = 3.385 Å, I 28, (0 0 4)
- d = 2.956 Å, I 28, (0 4 1)